Simulated PXRD pattern of Mg6GaFe for a wavelength of 1.5418 Å, from a crystal structure in the Materials Project, relaxed with GGA-PBE.

Principal peaks in the range 15 to 90 degrees two-theta, sorted by position:
hkl 0 1 1, 16.79 deg, d 5.282, I 386
hkl 1 0 2, 25.01 deg, d 3.561, I 177
hkl 0 2 2, 33.95 deg, d 2.641, I 265
hkl 2 0 0, 37.14 deg, d 2.421, I 390
hkl 1 2 2, 38.84 deg, d 2.318, I 1000
hkl 1 0 4, 39.09 deg, d 2.305, I 516
hkl 2 2 2, 51.19 deg, d 1.784, I 158
hkl 0 2 6, 61.09 deg, d 1.517, I 163
hkl 3 2 2, 68.09 deg, d 1.377, I 175
hkl 2 2 6, 73.71 deg, d 1.285, I 179

Structure:
Unit cell a=4.8414 b=6.1146 c=10.4822 alpha=90.00 beta=90.00 gamma=90.00
Space group Amm2 (No. 38)
One atom of each set of equivalent atoms:
Mg1 0.0000 0.0000 0.0000 (multiplicity 2)
Mg2 0.0000 0.2387 0.7442 (multiplicity 4)
Mg3 0.5000 0.0000 0.1670 (multiplicity 2)
Mg4 0.5000 0.2461 0.4183 (multiplicity 4)
Ga1 0.0000 0.0000 0.5089 (multiplicity 2)
Fe1 0.5000 0.0000 0.6644 (multiplicity 2)